# Li11Co2OF6
Computed X-ray diffraction stick pattern, copper Kα. Input: the GGA+U geometry in Alexandria.
Peak positions follow from Bragg's law for the DFT cell and can differ from measured ones.

```
20
Lattice="5.788 0.000 0.000 -2.640 6.022 0.000 -1.312 -1.914 7.340" Properties=species:S:1:pos:R:3 pbc="T T T"
Li 0.000 0.000 0.000
Li -2.530 3.218 4.224
Li -1.065 -0.037 4.840
Li -0.202 1.705 2.138
Li -1.206 4.505 1.859
Li -1.068 2.359 6.210
Li 1.748 2.780 0.090
Li 0.269 3.951 4.267
Li 1.764 0.673 4.616
Li 1.676 4.972 1.761
Li 3.061 0.762 7.328
Co 1.676 -1.309 6.721
Co 2.512 0.905 1.865
O 4.308 0.841 0.979
F -0.966 3.127 3.162
F 0.166 3.622 0.690
F 0.228 1.224 5.531
F 1.953 4.466 3.586
F 3.084 4.103 0.698
F 3.285 1.521 5.394
```

Peak list (8 most intense, 2θ = 15–90°, low angle first)
Position (°2θ)  I_rel  index
17.3  100.0  1 -1 0
18.4  39.1  1 0 -1
26.8  23.9  1 1 -1
27.8  53.1  1 1 0
29.0  42.0  1 -2 1
30.0  66.3  0 2 -1
31.9  32.9  0 1 2
36.1  38.7  0 1 -3